CeNdNiPt: theoretical X-ray diffraction stick pattern (Cu Kα X-rays), based on a crystal structure in Alexandria, relaxed with GGA-PBE.
Peak positions follow from Bragg's law for the DFT cell and can differ from measured ones.

Top 8 peaks for 2θ = 10–90°, in order of rising 2θ:
two_theta, I/Imax
16.47, 18
32.00, 100
33.30, 27
34.24, 27
39.19, 23
40.01, 69
40.80, 29
47.46, 19

Structural model:
Cell lengths 4.424, 3.832, 10.762 Å; angles 90.00, 90.00, 90.00 degrees
Positions (direct):
Ce 0.000 0.000 0.000
Ce 0.000 0.500 0.500
Nd 0.500 0.000 0.275
Nd 0.500 0.500 0.775
Ni 0.500 0.000 0.545
Ni 0.500 0.500 0.045
Pt 0.000 0.000 0.712
Pt 0.000 0.500 0.212



CeNd3O4: theoretical X-ray diffraction stick pattern (Cu Kα X-rays), based on a crystal structure in Alexandria, relaxed with GGA-PBE.
Peak positions follow from Bragg's law for the DFT cell and can differ from measured ones.

Top 8 peaks for 2θ = 10–90°, in order of rising 2θ:
two_theta, I/Imax
30.68, 62
30.86, 61
35.68, 100
51.13, 12
51.35, 46
60.95, 28
61.23, 18
86.47, 20

Structural model:
Cell lengths 6.172, 7.086, 6.176 Å; angles 90.00, 109.28, 90.00 degrees
Positions (direct):
Ce 0.000 0.125 0.250
Ce 0.000 0.875 0.750
Nd 0.000 0.373 0.750
Nd 0.000 0.627 0.250
Nd 0.500 0.124 0.750
Nd 0.500 0.374 0.250
Nd 0.500 0.626 0.750
Nd 0.500 0.876 0.250
O 0.245 0.372 0.497
O 0.245 0.628 0.997
O 0.246 0.123 0.000
O 0.246 0.877 0.500
O 0.754 0.123 0.500
O 0.754 0.877 0.000
O 0.755 0.372 0.003
O 0.755 0.628 0.503



Ce8Nd2O19: theoretical X-ray diffraction stick pattern (Cu Kα X-rays), based on a crystal structure in Alexandria, relaxed with GGA-PBE.
Peak positions follow from Bragg's law for the DFT cell and can differ from measured ones.

Top 8 peaks for 2θ = 10–90°, in order of rising 2θ:
two_theta, I/Imax
28.12, 100
32.66, 20
46.70, 34
46.85, 18
55.28, 13
55.54, 30
75.32, 10
86.93, 11

Structural model:
Cell lengths 3.878, 3.878, 27.588 Å; angles 90.00, 90.00, 90.00 degrees
Positions (direct):
Ce 0.000 0.500 0.049
Ce 0.000 0.500 0.247
Ce 0.000 0.500 0.654
Ce 0.000 0.500 0.852
Ce 0.500 0.000 0.148
Ce 0.500 0.000 0.346
Ce 0.500 0.000 0.753
Ce 0.500 0.000 0.951
Nd 0.000 0.500 0.442
Nd 0.500 0.000 0.558
O 0.000 0.000 0.000
O 0.000 0.000 0.099
O 0.000 0.000 0.199
O 0.000 0.000 0.299
O 0.000 0.000 0.401
O 0.000 0.000 0.599
O 0.000 0.000 0.701
O 0.000 0.000 0.801
O 0.000 0.000 0.901
O 0.500 0.500 0.000
O 0.500 0.500 0.098
O 0.500 0.500 0.196
O 0.500 0.500 0.294
O 0.500 0.500 0.391
O 0.500 0.500 0.500
O 0.500 0.500 0.609
O 0.500 0.500 0.706
O 0.500 0.500 0.804
O 0.500 0.500 0.902



CeNd3O7: theoretical X-ray diffraction stick pattern (Cu Kα X-rays), based on a crystal structure in Alexandria, relaxed with GGA-PBE.
Peak positions follow from Bragg's law for the DFT cell and can differ from measured ones.

Top 8 peaks for 2θ = 10–90°, in order of rising 2θ:
two_theta, I/Imax
27.49, 100
27.77, 97
31.65, 20
32.19, 44
45.78, 80
46.53, 16
54.41, 30
54.89, 27

Structural model:
Cell lengths 6.871, 6.871, 7.925 Å; angles 90.00, 90.00, 110.75 degrees
Positions (direct):
Ce 0.000 0.000 0.000
Ce 0.000 0.000 0.500
Nd 0.005 0.467 0.250
Nd 0.467 0.005 0.750
Nd 0.499 0.499 0.500
Nd 0.501 0.501 0.000
Nd 0.533 0.995 0.250
Nd 0.995 0.533 0.750
O 0.097 0.344 0.531
O 0.097 0.344 0.968
O 0.097 0.903 0.750
O 0.344 0.097 0.032
O 0.344 0.097 0.469
O 0.369 0.631 0.250
O 0.369 0.631 0.750
O 0.631 0.369 0.250
O 0.631 0.369 0.750
O 0.656 0.903 0.532
O 0.656 0.903 0.969
O 0.903 0.097 0.250
O 0.903 0.656 0.031
O 0.903 0.656 0.468



CeNdTe2O: theoretical X-ray diffraction stick pattern (Cu Kα X-rays), based on a crystal structure in Alexandria, relaxed with GGA-PBE.
Peak positions follow from Bragg's law for the DFT cell and can differ from measured ones.

Top 8 peaks for 2θ = 10–90°, in order of rising 2θ:
two_theta, I/Imax
22.16, 23
26.81, 39
29.77, 100
35.05, 70
37.42, 31
42.60, 42
56.31, 36
61.82, 18

Structural model:
Cell lengths 4.244, 4.244, 16.048 Å; angles 90.00, 90.00, 90.00 degrees
Positions (direct):
Ce 0.250 0.250 0.069
Ce 0.750 0.750 0.931
Nd 0.250 0.250 0.633
Nd 0.750 0.750 0.367
Te 0.250 0.250 0.416
Te 0.250 0.250 0.822
Te 0.750 0.750 0.178
Te 0.750 0.750 0.584
O 0.250 0.750 0.000
O 0.750 0.250 0.000



CeNd3P4: theoretical X-ray diffraction stick pattern (Cu Kα X-rays), based on a crystal structure in Alexandria, relaxed with GGA-PBE.
Peak positions follow from Bragg's law for the DFT cell and can differ from measured ones.

Top 8 peaks for 2θ = 10–90°, in order of rising 2θ:
two_theta, I/Imax
26.33, 79
30.49, 100
43.67, 73
51.71, 39
54.19, 26
69.94, 16
72.02, 22
80.21, 25

Structural model:
Cell lengths 8.297, 11.716, 4.146 Å; angles 90.00, 90.00, 90.00 degrees
Positions (direct):
Ce 0.000 0.000 0.000
Ce 0.500 0.500 0.000
Nd 0.000 0.500 0.000
Nd 0.250 0.250 0.500
Nd 0.250 0.750 0.500
Nd 0.500 0.000 0.000
Nd 0.750 0.250 0.500
Nd 0.750 0.750 0.500
P 0.000 0.246 0.000
P 0.000 0.754 0.000
P 0.244 0.000 0.500
P 0.256 0.500 0.500
P 0.500 0.254 0.000
P 0.500 0.746 0.000
P 0.744 0.500 0.500
P 0.756 0.000 0.500



CeNd2P3: theoretical X-ray diffraction stick pattern (Cu Kα X-rays), based on a crystal structure in Alexandria, relaxed with GGA-PBE.
Peak positions follow from Bragg's law for the DFT cell and can differ from measured ones.

Top 8 peaks for 2θ = 10–90°, in order of rising 2θ:
two_theta, I/Imax
26.37, 79
30.54, 100
43.74, 73
51.80, 39
54.28, 26
70.06, 16
72.16, 33
80.36, 25

Structural model:
Cell lengths 4.140, 5.854, 12.415 Å; angles 90.00, 90.00, 90.00 degrees
Positions (direct):
Ce 0.000 0.000 0.000
Ce 0.500 0.500 0.500
Nd 0.000 0.000 0.333
Nd 0.000 0.000 0.667
Nd 0.500 0.500 0.167
Nd 0.500 0.500 0.833
P 0.000 0.500 0.000
P 0.000 0.500 0.338
P 0.000 0.500 0.662
P 0.500 0.000 0.162
P 0.500 0.000 0.500
P 0.500 0.000 0.838



CeNdP2Rh5: theoretical X-ray diffraction stick pattern (Cu Kα X-rays), based on a crystal structure in Alexandria, relaxed with GGA-PBE.
Peak positions follow from Bragg's law for the DFT cell and can differ from measured ones.

Top 8 peaks for 2θ = 10–90°, in order of rising 2θ:
two_theta, I/Imax
24.31, 22
27.40, 23
32.61, 21
35.42, 100
44.87, 42
52.55, 23
56.56, 17
76.56, 21

Structural model:
Cell lengths 4.040, 4.040, 10.984 Å; angles 90.00, 90.00, 90.00 degrees
Positions (direct):
Ce 0.000 0.000 0.000
Nd 0.000 0.000 0.500
P 0.500 0.500 0.208
P 0.500 0.500 0.792
Rh 0.000 0.500 0.299
Rh 0.000 0.500 0.701
Rh 0.500 0.000 0.299
Rh 0.500 0.000 0.701
Rh 0.500 0.500 0.000